Structure and calculated X-ray diffraction stick pattern of Sr3Np2N6 (the PBE geometry in Alexandria; Cu Kα).
No peak broadening, texture or thermal motion is included.

Peak list (10 most intense, 10° ≤ 2θ ≤ 90°, in order of falling intensity)
- 30.03°, rel. 100
- 29.64°, rel. 55
- 52.84°, rel. 45
- 42.42°, rel. 28
- 21.28°, rel. 27
- 17.06°, rel. 18
- 53.56°, rel. 17
- 85.39°, rel. 14
- 62.41°, rel. 13
- 69.99°, rel. 13

Structural model:
Cell lengths 10.821, 10.821, 10.821 Å; angles 157.29, 157.29, 32.34 degrees
Sites, in units of the cell vectors:
1 Sr 0.000 0.000 0.000
2 Sr 0.186 0.186 0.000
3 Sr 0.814 0.814 0.000
4 Np 0.405 0.405 0.000
5 Np 0.595 0.595 0.000
6 N 0.089 0.589 0.500
7 N 0.309 0.309 0.000
8 N 0.411 0.911 0.500
9 N 0.589 0.089 0.500
10 N 0.691 0.691 0.000
11 N 0.911 0.411 0.500


Structure and calculated X-ray diffraction stick pattern of NbGeTePO (the PBE geometry in Alexandria; Cu Kα).
No peak broadening, texture or thermal motion is included.

Peak list (10 most intense, 10° ≤ 2θ ≤ 90°, in order of falling intensity)
- 23.45°, rel. 100
- 33.95°, rel. 49
- 38.77°, rel. 40
- 28.17°, rel. 39
- 33.62°, rel. 29
- 38.42°, rel. 29
- 46.02°, rel. 27
- 46.52°, rel. 20
- 58.83°, rel. 19
- 11.06°, rel. 17

Structural model:
Cell lengths 3.472, 3.904, 8.230 Å; angles 76.36, 89.18, 89.97 degrees
Sites, in units of the cell vectors:
1 Nb 0.000 0.000 0.000
2 Ge 0.211 0.310 0.384
3 Te 0.499 0.138 0.722
4 P 0.490 0.879 0.243
5 O 0.993 0.492 0.017


Structure and calculated X-ray diffraction stick pattern of Na2SrHg (the PBE geometry in Alexandria; Cu Kα).
No peak broadening, texture or thermal motion is included.

Peak list (10 most intense, 10° ≤ 2θ ≤ 90°, in order of falling intensity)
- 31.11°, rel. 100
- 21.28°, rel. 67
- 30.27°, rel. 57
- 54.30°, rel. 41
- 11.16°, rel. 38
- 38.00°, rel. 35
- 22.43°, rel. 33
- 43.34°, rel. 22
- 51.00°, rel. 18
- 49.33°, rel. 17

Structural model:
Cell lengths 4.176, 4.176, 7.928 Å; angles 90.00, 90.00, 90.00 degrees
Sites, in units of the cell vectors:
1 Na 0.000 0.000 0.196
2 Na 0.000 0.000 0.804
3 Sr 0.500 0.500 0.500
4 Hg 0.500 0.500 0.000


Structure and calculated X-ray diffraction stick pattern of MgAl14Zn (the PBE geometry in Alexandria; Cu Kα).
No peak broadening, texture or thermal motion is included.

Peak list (10 most intense, 10° ≤ 2θ ≤ 90°, in order of falling intensity)
- 41.07°, rel. 100
- 37.65°, rel. 29
- 36.30°, rel. 24
- 70.28°, rel. 20
- 77.89°, rel. 19
- 65.30°, rel. 16
- 53.29°, rel. 16
- 80.10°, rel. 13
- 20.20°, rel. 7
- 17.92°, rel. 5

Structural model:
Cell lengths 9.557, 5.715, 5.715 Å; angles 60.03, 90.00, 90.00 degrees
Sites, in units of the cell vectors:
1 Mg 0.000 0.000 0.000
2 Al 0.000 0.003 0.498
3 Al 0.000 0.498 0.003
4 Al 0.248 0.666 0.666
5 Al 0.253 0.167 0.663
6 Al 0.253 0.168 0.168
7 Al 0.253 0.663 0.167
8 Al 0.500 0.000 0.000
9 Al 0.500 0.500 0.500
10 Al 0.500 0.501 0.998
11 Al 0.500 0.998 0.501
12 Al 0.747 0.167 0.663
13 Al 0.747 0.168 0.168
14 Al 0.747 0.663 0.167
15 Al 0.752 0.666 0.666
16 Zn 0.000 0.499 0.499


Structure and calculated X-ray diffraction stick pattern of SmTm3Rh2 (the PBE geometry in Alexandria; Cu Kα).
No peak broadening, texture or thermal motion is included.

Peak list (10 most intense, 10° ≤ 2θ ≤ 90°, in order of falling intensity)
- 30.90°, rel. 100
- 33.30°, rel. 94
- 39.05°, rel. 71
- 36.64°, rel. 46
- 31.59°, rel. 35
- 61.03°, rel. 20
- 32.37°, rel. 17
- 43.18°, rel. 15
- 56.42°, rel. 15
- 43.90°, rel. 15

Structural model:
Cell lengths 4.614, 8.688, 7.174 Å; angles 90.00, 90.00, 90.00 degrees
Sites, in units of the cell vectors:
1 Sm 0.000 0.084 0.000
2 Sm 0.000 0.916 0.500
3 Tm 0.000 0.333 0.629
4 Tm 0.000 0.667 0.129
5 Tm 0.500 0.175 0.347
6 Tm 0.500 0.417 0.974
7 Tm 0.500 0.583 0.474
8 Tm 0.500 0.825 0.847
9 Rh 0.000 0.345 0.235
10 Rh 0.000 0.655 0.735
11 Rh 0.500 0.163 0.740
12 Rh 0.500 0.837 0.240


Structure and calculated X-ray diffraction stick pattern of VBIr (the PBE geometry in Alexandria; Cu Kα).
No peak broadening, texture or thermal motion is included.

Peak list (10 most intense, 10° ≤ 2θ ≤ 90°, in order of falling intensity)
- 33.68°, rel. 100
- 29.54°, rel. 69
- 37.52°, rel. 62
- 29.71°, rel. 61
- 23.26°, rel. 60
- 43.99°, rel. 52
- 43.75°, rel. 51
- 51.19°, rel. 34
- 47.00°, rel. 33
- 51.40°, rel. 33

Structural model:
Cell lengths 3.973, 3.973, 4.903 Å; angles 90.25, 90.25, 105.78 degrees
Sites, in units of the cell vectors:
1 V 0.005 0.005 0.248
2 V 0.995 0.995 0.752
3 B 0.538 0.139 0.581
4 B 0.861 0.462 0.419
5 Ir 0.395 0.605 0.500
6 Ir 0.633 0.367 0.000


Structure and calculated X-ray diffraction stick pattern of Th2Te3Au (the PBE geometry in Alexandria; Cu Kα).
No peak broadening, texture or thermal motion is included.

Peak list (10 most intense, 10° ≤ 2θ ≤ 90°, in order of falling intensity)
- 32.41°, rel. 100
- 36.11°, rel. 60
- 31.89°, rel. 35
- 28.72°, rel. 25
- 41.43°, rel. 25
- 42.67°, rel. 22
- 21.32°, rel. 21
- 43.66°, rel. 20
- 69.30°, rel. 17
- 54.25°, rel. 16

Structural model:
Cell lengths 11.631, 11.631, 4.146 Å; angles 90.00, 90.00, 159.01 degrees
Sites, in units of the cell vectors:
1 Th 0.106 0.894 0.000
2 Th 0.894 0.106 0.000
3 Te 0.338 0.662 0.500
4 Te 0.500 0.500 0.000
5 Te 0.662 0.338 0.500
6 Au 0.000 0.000 0.500


Structure and calculated X-ray diffraction stick pattern of Tl3In4Hg6 (the PBE geometry in Alexandria; Cu Kα).
No peak broadening, texture or thermal motion is included.

Peak list (10 most intense, 10° ≤ 2θ ≤ 90°, in order of falling intensity)
- 30.65°, rel. 100
- 31.43°, rel. 82
- 32.93°, rel. 76
- 34.75°, rel. 66
- 34.24°, rel. 65
- 37.11°, rel. 54
- 43.52°, rel. 32
- 49.54°, rel. 23
- 62.49°, rel. 23
- 50.97°, rel. 22

Structural model:
Cell lengths 3.606, 9.304, 10.822 Å; angles 86.81, 87.97, 84.74 degrees
Sites, in units of the cell vectors:
1 Tl 0.000 0.000 0.000
2 Tl 0.245 0.628 0.913
3 Tl 0.755 0.372 0.087
4 In 0.115 0.540 0.320
5 In 0.190 0.090 0.609
6 In 0.810 0.910 0.391
7 In 0.885 0.460 0.680
8 Hg 0.287 0.137 0.247
9 Hg 0.341 0.695 0.548
10 Hg 0.429 0.244 0.841
11 Hg 0.571 0.756 0.159
12 Hg 0.659 0.305 0.452
13 Hg 0.713 0.863 0.753


Structure and calculated X-ray diffraction stick pattern of Cu4Au5 (the PBE geometry in Alexandria; Cu Kα).
No peak broadening, texture or thermal motion is included.

Peak list (10 most intense, 10° ≤ 2θ ≤ 90°, in order of falling intensity)
- 39.63°, rel. 100
- 43.79°, rel. 49
- 39.43°, rel. 34
- 26.58°, rel. 20
- 77.78°, rel. 17
- 50.27°, rel. 17
- 68.75°, rel. 13
- 68.92°, rel. 13
- 87.25°, rel. 11
- 77.37°, rel. 9

Structural model:
Cell lengths 6.458, 6.458, 3.630 Å; angles 106.19, 106.19, 85.19 degrees
Sites, in units of the cell vectors:
1 Cu 0.000 0.343 0.171
2 Cu 0.000 0.657 0.829
3 Cu 0.343 0.000 0.171
4 Cu 0.657 0.000 0.829
5 Au 0.000 0.000 0.500
6 Au 0.320 0.320 0.820
7 Au 0.322 0.678 0.500
8 Au 0.678 0.322 0.500
9 Au 0.680 0.680 0.180


Structure and calculated X-ray diffraction stick pattern of LaNb2CuBrO7 (the PBE geometry in Alexandria; Cu Kα).
No peak broadening, texture or thermal motion is included.

Peak list (10 most intense, 10° ≤ 2θ ≤ 90°, in order of falling intensity)
- 32.13°, rel. 100
- 27.21°, rel. 79
- 46.15°, rel. 31
- 44.72°, rel. 28
- 57.29°, rel. 25
- 22.58°, rel. 22
- 45.97°, rel. 18
- 67.18°, rel. 17
- 15.01°, rel. 14
- 35.63°, rel. 13

Structural model:
Cell lengths 11.808, 5.573, 5.573 Å; angles 90.23, 90.00, 90.00 degrees
Sites, in units of the cell vectors:
1 La 0.000 0.238 0.762
2 La 0.000 0.762 0.238
3 Nb 0.191 0.252 0.252
4 Nb 0.191 0.748 0.748
5 Nb 0.809 0.252 0.252
6 Nb 0.809 0.748 0.748
7 Cu 0.500 0.273 0.273
8 Cu 0.500 0.729 0.729
9 Br 0.500 0.237 0.763
10 Br 0.500 0.763 0.237
11 O 0.000 0.203 0.203
12 O 0.000 0.797 0.797
13 O 0.135 0.500 0.500
14 O 0.153 0.000 0.500
15 O 0.153 0.500 0.000
16 O 0.181 0.000 0.000
17 O 0.344 0.276 0.276
18 O 0.344 0.724 0.724
19 O 0.656 0.276 0.276
20 O 0.656 0.724 0.724
21 O 0.819 0.000 0.000
22 O 0.847 0.000 0.500
23 O 0.847 0.500 0.000
24 O 0.865 0.500 0.500


Structure and calculated X-ray diffraction stick pattern of Ca2ZnBiAu6 (the PBE geometry in Alexandria; Cu Kα).
No peak broadening, texture or thermal motion is included.

Peak list (10 most intense, 10° ≤ 2θ ≤ 90°, in order of falling intensity)
- 34.93°, rel. 100
- 17.26°, rel. 82
- 30.13°, rel. 80
- 50.23°, rel. 70
- 39.21°, rel. 41
- 59.70°, rel. 32
- 84.31°, rel. 30
- 62.64°, rel. 23
- 53.51°, rel. 21
- 38.18°, rel. 13

Structural model:
Cell lengths 7.265, 7.265, 7.265 Å; angles 60.00, 60.00, 60.00 degrees
Sites, in units of the cell vectors:
1 Ca 0.250 0.250 0.250
2 Ca 0.750 0.750 0.750
3 Zn 0.000 0.000 0.000
4 Bi 0.500 0.500 0.500
5 Au 0.236 0.236 0.764
6 Au 0.236 0.764 0.236
7 Au 0.236 0.764 0.764
8 Au 0.764 0.236 0.236
9 Au 0.764 0.236 0.764
10 Au 0.764 0.764 0.236


Structure and calculated X-ray diffraction stick pattern of HoEr3Th2 (the PBE geometry in Alexandria; Cu Kα).
No peak broadening, texture or thermal motion is included.

Peak list (10 most intense, 10° ≤ 2θ ≤ 90°, in order of falling intensity)
- 30.91°, rel. 100
- 31.06°, rel. 99
- 35.89°, rel. 68
- 61.61°, rel. 50
- 51.76°, rel. 48
- 36.02°, rel. 33
- 61.33°, rel. 29
- 87.40°, rel. 17
- 84.67°, rel. 15
- 64.41°, rel. 13

Structural model:
Cell lengths 9.973, 3.552, 10.579 Å; angles 90.00, 90.05, 90.00 degrees
Sites, in units of the cell vectors:
1 Ho 0.124 0.250 0.251
2 Ho 0.876 0.750 0.749
3 Er 0.131 0.250 0.918
4 Er 0.370 0.750 0.418
5 Er 0.376 0.750 0.751
6 Er 0.624 0.250 0.249
7 Er 0.630 0.250 0.582
8 Er 0.869 0.750 0.082
9 Th 0.123 0.250 0.583
10 Th 0.377 0.750 0.083
11 Th 0.623 0.250 0.917
12 Th 0.877 0.750 0.417


Structure and calculated X-ray diffraction stick pattern of La5Tb2Nd3 (the PBE geometry in Alexandria; Cu Kα).
No peak broadening, texture or thermal motion is included.

Peak list (10 most intense, 10° ≤ 2θ ≤ 90°, in order of falling intensity)
- 30.60°, rel. 100
- 28.76°, rel. 96
- 32.34°, rel. 48
- 61.30°, rel. 30
- 35.06°, rel. 25
- 59.21°, rel. 24
- 48.16°, rel. 22
- 31.57°, rel. 21
- 33.26°, rel. 19
- 56.60°, rel. 17

Structural model:
Cell lengths 9.320, 9.320, 10.270 Å; angles 108.63, 108.63, 107.12 degrees
Sites, in units of the cell vectors:
1 La 0.023 0.977 0.750
2 La 0.133 0.379 0.758
3 La 0.230 0.770 0.750
4 La 0.276 0.724 0.250
5 La 0.379 0.133 0.258
6 La 0.621 0.867 0.742
7 La 0.724 0.276 0.750
8 La 0.770 0.230 0.250
9 La 0.867 0.621 0.242
10 La 0.977 0.023 0.250
11 Tb 0.220 0.467 0.440
12 Tb 0.467 0.220 0.940
13 Tb 0.533 0.780 0.060
14 Tb 0.780 0.533 0.560
15 Nd 0.027 0.277 0.057
16 Nd 0.277 0.027 0.557
17 Nd 0.482 0.518 0.250
18 Nd 0.518 0.482 0.750
19 Nd 0.723 0.973 0.443
20 Nd 0.973 0.723 0.943